# Tb2Sm6Sc3
Theoretical X-ray diffraction stick pattern, a wavelength of 1.5418 Å. Input: a structure optimized by DFT (PBE).
Lines closer than 0.1° are merged.

Lattice parameters (Å, degrees): 5.9603 8.2956 8.3469 105.57 108.07 108.20
Atoms (fractional coordinates):
Tb 0.0391 0.3180 0.3583
Tb 0.9609 0.6820 0.6417
Sm 0.0765 0.1428 0.7093
Sm 0.3485 0.9501 0.1221
Sm 0.4906 0.5943 0.8277
Sm 0.5094 0.4057 0.1723
Sm 0.6515 0.0499 0.8779
Sm 0.9235 0.8572 0.2907
Sc 0.0000 0.5000 0.0000
Sc 0.4368 0.7655 0.4424
Sc 0.5632 0.2345 0.5576

Main lines, sorted by position (10° ≤ 2θ ≤ 80°):
- 16.4 deg, intensity 27
- 25.3 deg, intensity 22
- 30.1 deg, intensity 50
- 31.7 deg, intensity 70
- 31.9 deg, intensity 90
- 32.3 deg, intensity 82
- 33.2 deg, intensity 56
- 33.5 deg, intensity 100
- 35.1 deg, intensity 22
- 46.4 deg, intensity 24

=====

# Na4Bi2PC4O16
Theoretical X-ray diffraction stick pattern, a wavelength of 1.5418 Å. Input: a structure optimized by DFT (PBE).
Lines closer than 0.1° are merged.

Lattice parameters (Å, degrees): 10.6845 10.5580 10.1803 61.99 60.74 57.27
Atoms (fractional coordinates):
Na 0.0766 0.6734 0.0766
Na 0.0780 0.6720 0.6720
Na 0.3266 0.9234 0.3266
Na 0.3280 0.9220 0.9220
Na 0.6720 0.0780 0.0780
Na 0.6734 0.0766 0.6734
Na 0.9220 0.3280 0.3280
Na 0.9234 0.3266 0.9234
Bi 0.0000 0.5000 0.5000
Bi 0.5000 0.0000 0.5000
Bi 0.5000 0.5000 0.0000
Bi 0.5000 0.5000 0.5000
P 0.1250 0.1250 0.1250
P 0.8750 0.8750 0.8750
C 0.2620 0.6614 0.2923
C 0.2843 0.2923 0.6614
C 0.2923 0.2843 0.2620
C 0.3386 0.7380 0.7157
C 0.6614 0.2620 0.2843
C 0.7077 0.7157 0.7380
C 0.7157 0.7077 0.3386
C 0.7380 0.3386 0.7077
O 0.0547 0.3070 0.0697
O 0.0687 0.0697 0.3070
O 0.0697 0.0687 0.0547
O 0.1405 0.6529 0.4139
O 0.1543 0.3027 0.6684
O 0.1579 0.4061 0.2722
O 0.2722 0.6638 0.1579
O 0.2926 0.4139 0.6529
O 0.3027 0.1543 0.3746
O 0.3070 0.0547 0.0687
O 0.3316 0.6254 0.8457
O 0.3362 0.7278 0.5939
O 0.3471 0.8595 0.7074
O 0.3746 0.6684 0.3027
O 0.4061 0.1579 0.6638
O 0.4139 0.2926 0.1405
O 0.5861 0.7074 0.8595
O 0.5939 0.8421 0.3362
O 0.6254 0.3316 0.6973
O 0.6529 0.1405 0.2926
O 0.6638 0.2722 0.4061
O 0.6684 0.3746 0.1543
O 0.6930 0.9453 0.9313
O 0.6973 0.8457 0.6254
O 0.7074 0.5861 0.3471
O 0.7278 0.3362 0.8421
O 0.8421 0.5939 0.7278
O 0.8457 0.6973 0.3316
O 0.8595 0.3471 0.5861
O 0.9303 0.9313 0.9453
O 0.9313 0.9303 0.6930
O 0.9453 0.6930 0.9303

Main lines, sorted by position (10° ≤ 2θ ≤ 80°):
- 10.4 deg, intensity 100
- 19.1 deg, intensity 50
- 20.1 deg, intensity 35
- 20.5 deg, intensity 37
- 20.8 deg, intensity 65
- 29.9 deg, intensity 23
- 31.8 deg, intensity 21
- 33.6 deg, intensity 23
- 34.1 deg, intensity 25
- 38.9 deg, intensity 21